Entry 1:
Starting from DFT lattice parameters and positions (PBE), the PXRD pattern of CeUZn17 was simulated for Cu Kα.

Structure:
Cell: 8.9844 8.9844 13.3136 Å, 90.00 90.00 120.00°
Space group R3m (No. 160, hexagonal axes)
One atom of each set of equivalent atoms:
Ce 0.0000 0.0000 0.0000 x3
U 0.0000 0.0000 0.6705 x3
Zn 0.0000 0.0000 0.2352 x3
Zn 0.0000 0.0000 0.4379 x3
Zn 0.0010 0.2978 0.3356 x18
Zn 0.0097 0.5049 0.4872 x9
Zn 0.1672 0.3345 0.1693 x9
Zn 0.1701 0.3403 0.5166 x9

The 10 most intense peaks (5 to 70 degrees two-theta), low angle first:
2θ = 28.27°, rel. 34, hkl 1 1 3
2θ = 34.58°, rel. 41, hkl 3 0 0
2θ = 35.49°, rel. 25, hkl 0 2 4
2θ = 40.15°, rel. 59, hkl 2 2 0
2θ = 40.28°, rel. 100, hkl 0 3 3
2θ = 40.66°, rel. 32, hkl 0 0 6
2θ = 41.08°, rel. 21, hkl 2 0 5
2θ = 45.25°, rel. 21, hkl 2 2 3
2θ = 58.47°, rel. 17, hkl 2 2 6
2θ = 65.82°, rel. 17, hkl 3 3 3

Entry 2:
Starting from DFT lattice parameters and positions (PBE), the PXRD pattern of Zn4CuN3 was simulated for Cu Kα.

Structure:
Cell: 6.4171 6.9362 12.0579 Å, 90.05 91.16 117.49°
Space group P1 (No. 1)
One atom of each set of equivalent atoms:
Zn 0.0000 0.0000 0.0000 x1
Zn 0.0023 0.8430 0.5582 x1
Zn 0.0031 0.4038 0.9041 x1
Zn 0.0395 0.4900 0.3859 x1
Zn 0.0877 0.4642 0.6312 x1
Zn 0.1354 0.9978 0.7630 x1
Zn 0.2639 0.1606 0.2027 x1
Zn 0.3268 0.5555 0.1293 x1
Zn 0.4171 0.3734 0.9201 x1
Zn 0.4731 0.9111 0.9467 x1
Zn 0.5354 0.0400 0.5031 x1
Zn 0.5410 0.5336 0.3969 x1
Zn 0.6624 0.0759 0.7181 x1
Zn 0.8522 0.2099 0.1398 x1
Zn 0.8743 0.6439 0.1952 x1
Zn 0.8772 0.9456 0.3418 x1
Cu 0.3246 0.2705 0.5675 x1
Cu 0.5413 0.7002 0.6026 x1
Cu 0.6240 0.2491 0.3020 x1
Cu 0.7921 0.6008 0.7381 x1
N 0.0537 0.4863 0.2179 x1
N 0.2761 0.0614 0.9097 x1
N 0.2890 0.5080 0.5059 x1
N 0.3369 0.5934 0.9662 x1
N 0.3413 0.0253 0.6262 x1
N 0.5188 0.4417 0.2306 x1
N 0.7702 0.1420 0.3990 x1
N 0.7893 0.1359 0.9827 x1
N 0.8012 0.8702 0.6980 x1
N 0.8807 0.3824 0.7503 x1
N 0.8917 0.6977 0.4182 x1
N 0.9558 0.9503 0.1718 x1

The 10 most intense peaks (5 to 70 degrees two-theta), low angle first:
2θ = 16.10°, rel. 51, hkl 0 1 -1
2θ = 21.73°, rel. 56, hkl 1 0 2
2θ = 26.85°, rel. 61, hkl 1 0 -3
2θ = 26.98°, rel. 61, hkl 1 1 1
2θ = 31.46°, rel. 100, hkl 2 -2 0
2θ = 32.84°, rel. 54, hkl 0 2 2
2θ = 33.84°, rel. 63, hkl 1 -1 4
2θ = 35.19°, rel. 55, hkl 2 0 2
2θ = 36.58°, rel. 68, hkl 0 2 -3
2θ = 37.30°, rel. 52, hkl 0 0 5

Entry 3:
Starting from DFT lattice parameters and positions (PBE), the PXRD pattern of CeCrSe3 was simulated for Cu Kα.

Structure:
Cell: 8.1498 3.9762 13.6474 Å, 90.00 90.00 90.00°
Space group Pnma (No. 62)
One atom of each set of equivalent atoms:
Ce 0.0943 0.2500 0.1720 x4
Cr 0.1613 0.7500 0.4480 x4
Se 0.0144 0.7500 0.6093 x4
Se 0.1570 0.7500 0.0056 x4
Se 0.1885 0.2500 0.7865 x4

The 10 most intense peaks (5 to 70 degrees two-theta), low angle first:
2θ = 31.84°, rel. 61, hkl 1 1 3
2θ = 32.13°, rel. 54, hkl 2 1 1
2θ = 34.14°, rel. 100, hkl 2 1 2
2θ = 34.28°, rel. 24, hkl 2 0 4
2θ = 34.66°, rel. 42, hkl 1 0 5
2θ = 35.57°, rel. 17, hkl 3 0 2
2θ = 40.07°, rel. 30, hkl 0 1 5
2θ = 45.04°, rel. 22, hkl 3 1 3
2θ = 45.63°, rel. 36, hkl 0 2 0
2θ = 58.54°, rel. 18, hkl 1 2 5

Entry 4:
Starting from DFT lattice parameters and positions (PBE), the PXRD pattern of MgRu2O8 was simulated for Cu Kα.

Structure:
Cell: 5.6665 5.7701 8.1461 Å, 74.91 71.78 64.26°
Space group P1 (No. 1)
One atom of each set of equivalent atoms:
Mg 0.0000 0.0000 0.0000 x1
Ru 0.2752 0.1821 0.5503 x1
Ru 0.7060 0.6720 0.0554 x1
O 0.0419 0.2198 0.7528 x1
O 0.1459 0.1260 0.4069 x1
O 0.3439 0.4581 0.4701 x1
O 0.3780 0.8396 0.0162 x1
O 0.5646 0.9224 0.5836 x1
O 0.7660 0.8190 0.1981 x1
O 0.8111 0.3301 0.1066 x1
O 0.9377 0.7644 0.8717 x1

The 10 most intense peaks (5 to 70 degrees two-theta), low angle first:
2θ = 18.94°, rel. 100, hkl 1 0 1
2θ = 19.34°, rel. 71, hkl 0 1 1
2θ = 19.49°, rel. 54, hkl 1 1 0
2θ = 22.18°, rel. 38, hkl 0 1 -1
2θ = 23.24°, rel. 49, hkl 0 0 2
2θ = 23.48°, rel. 34, hkl 1 0 -1
2θ = 24.79°, rel. 22, hkl 1 1 2
2θ = 29.42°, rel. 24, hkl 1 -1 0
2θ = 31.21°, rel. 16, hkl 1 2 1
2θ = 37.68°, rel. 13, hkl 1 2 -1

Entry 5:
Starting from DFT lattice parameters and positions (PBE), the PXRD pattern of CaBr was simulated for Cu Kα.

Structure:
Cell: 3.9170 3.9170 4.3410 Å, 90.00 90.00 120.00°
Space group P-6m2 (No. 187)
One atom of each set of equivalent atoms:
Ca 0.0000 0.0000 0.0000 x1
Br 0.3333 0.6667 0.5000 x1

The 10 most intense peaks (5 to 70 degrees two-theta), low angle first:
2θ = 20.46°, rel. 7, hkl 0 0 1
2θ = 26.27°, rel. 40, hkl 1 0 0
2θ = 33.53°, rel. 100, hkl 1 0 1
2θ = 41.61°, rel. 11, hkl 0 0 2
2θ = 46.36°, rel. 25, hkl 1 1 0
2θ = 49.88°, rel. 13, hkl 1 0 2
2θ = 51.17°, rel. 4, hkl 1 1 1
2θ = 54.07°, rel. 5, hkl 2 0 0
2θ = 58.42°, rel. 19, hkl 2 0 1
2θ = 64.04°, rel. 18, hkl 1 1 2

Entry 6:
Starting from DFT lattice parameters and positions (PBE), the PXRD pattern of SrI2O15 was simulated for Cu Kα.

Structure:
Cell: 6.2302 10.6741 10.8222 Å, 85.35 80.56 87.70°
Space group P-1 (No. 2)
One atom of each set of equivalent atoms:
Sr 0.1590 0.4001 0.2354 x2
I 0.2664 0.3562 0.5419 x2
I 0.2911 0.7526 0.9698 x2
O 0.0331 0.0265 0.6880 x2
O 0.0513 0.7325 0.8948 x2
O 0.0900 0.2684 0.4654 x2
O 0.0922 0.4802 0.0032 x2
O 0.1022 0.4546 0.6496 x2
O 0.1460 0.8636 0.0909 x2
O 0.1522 0.9854 0.3298 x2
O 0.2621 0.6129 0.0884 x2
O 0.2636 0.8807 0.6085 x2
O 0.3465 0.9221 0.8992 x2
O 0.3998 0.4500 0.4065 x2
O 0.4396 0.2541 0.6226 x2
O 0.4421 0.8791 0.6403 x2
O 0.4828 0.1855 0.9503 x2
O 0.4876 0.6792 0.8497 x2

The 10 most intense peaks (5 to 70 degrees two-theta), low angle first:
2θ = 8.31°, rel. 93, hkl 0 1 0
2θ = 12.20°, rel. 36, hkl 0 1 -1
2θ = 16.66°, rel. 58, hkl 0 0 2
2θ = 17.07°, rel. 67, hkl 1 1 1
2θ = 18.05°, rel. 69, hkl 1 -1 1
2θ = 19.57°, rel. 100, hkl -1 1 1
2θ = 21.80°, rel. 74, hkl 1 2 0
2θ = 24.31°, rel. 42, hkl -1 2 1
2θ = 24.54°, rel. 46, hkl 0 2 -2
2θ = 28.90°, rel. 30, hkl 1 -1 3

Entry 7:
Starting from DFT lattice parameters and positions (PBE), the PXRD pattern of Ba2Ce2O5 was simulated for Cu Kα.

Structure:
Cell: 6.2434 12.7500 4.4766 Å, 90.00 90.00 90.00°
Space group Pbam (No. 55)
One atom of each set of equivalent atoms:
Ba 0.2472 0.1052 0.0000 x4
Ce 0.2432 0.3624 0.5000 x4
O 0.0000 0.0000 0.5000 x2
O 0.1002 0.7066 0.5000 x4
O 0.1938 0.3961 0.0000 x4

The 10 most intense peaks (5 to 70 degrees two-theta), low angle first:
2θ = 27.99°, rel. 26, hkl 0 4 0
2θ = 28.24°, rel. 100, hkl 1 2 1
2θ = 28.59°, rel. 30, hkl 2 0 0
2θ = 40.29°, rel. 16, hkl 0 0 2
2θ = 40.44°, rel. 23, hkl 2 4 0
2θ = 49.72°, rel. 27, hkl 0 4 2
2θ = 50.15°, rel. 12, hkl 2 0 2
2θ = 50.43°, rel. 23, hkl 3 2 1
2θ = 58.41°, rel. 15, hkl 2 4 2
2θ = 66.02°, rel. 9, hkl 1 2 3

Entry 8:
Starting from DFT lattice parameters and positions (PBE), the PXRD pattern of ErAlNi was simulated for Cu Kα.

Structure:
Cell: 8.5451 5.3599 9.0377 Å, 90.00 90.00 90.00°
Space group Amm2 (No. 38)
One atom of each set of equivalent atoms:
Er 0.1816 0.0000 0.0000 x4
Er 0.2921 0.0000 0.6691 x4
Al 0.0000 0.0000 0.4720 x2
Al 0.5000 0.0000 0.1657 x2
Al 0.5000 0.2472 0.4147 x4
Ni 0.0000 0.2459 0.2363 x4
Ni 0.2593 0.0000 0.3329 x4

The 10 most intense peaks (5 to 70 degrees two-theta), low angle first:
2θ = 20.79°, rel. 44, hkl 2 0 0
2θ = 33.44°, rel. 39, hkl 0 2 0
2θ = 34.14°, rel. 93, hkl 0 1 3
2θ = 37.10°, rel. 74, hkl 3 1 1
2θ = 37.32°, rel. 50, hkl 3 0 2
2θ = 39.70°, rel. 65, hkl 2 2 0
2θ = 40.31°, rel. 100, hkl 2 1 3
2θ = 40.53°, rel. 37, hkl 1 2 2
2θ = 64.43°, rel. 24, hkl 2 3 3
2θ = 68.33°, rel. 24, hkl 5 2 2

Copy entry 6 word for word.
Starting from DFT lattice parameters and positions (PBE), the PXRD pattern of SrI2O15 was simulated for Cu Kα.

Structure:
Cell: 6.2302 10.6741 10.8222 Å, 85.35 80.56 87.70°
Space group P-1 (No. 2)
One atom of each set of equivalent atoms:
Sr 0.1590 0.4001 0.2354 x2
I 0.2664 0.3562 0.5419 x2
I 0.2911 0.7526 0.9698 x2
O 0.0331 0.0265 0.6880 x2
O 0.0513 0.7325 0.8948 x2
O 0.0900 0.2684 0.4654 x2
O 0.0922 0.4802 0.0032 x2
O 0.1022 0.4546 0.6496 x2
O 0.1460 0.8636 0.0909 x2
O 0.1522 0.9854 0.3298 x2
O 0.2621 0.6129 0.0884 x2
O 0.2636 0.8807 0.6085 x2
O 0.3465 0.9221 0.8992 x2
O 0.3998 0.4500 0.4065 x2
O 0.4396 0.2541 0.6226 x2
O 0.4421 0.8791 0.6403 x2
O 0.4828 0.1855 0.9503 x2
O 0.4876 0.6792 0.8497 x2

The 10 most intense peaks (5 to 70 degrees two-theta), low angle first:
2θ = 8.31°, rel. 93, hkl 0 1 0
2θ = 12.20°, rel. 36, hkl 0 1 -1
2θ = 16.66°, rel. 58, hkl 0 0 2
2θ = 17.07°, rel. 67, hkl 1 1 1
2θ = 18.05°, rel. 69, hkl 1 -1 1
2θ = 19.57°, rel. 100, hkl -1 1 1
2θ = 21.80°, rel. 74, hkl 1 2 0
2θ = 24.31°, rel. 42, hkl -1 2 1
2θ = 24.54°, rel. 46, hkl 0 2 -2
2θ = 28.90°, rel. 30, hkl 1 -1 3

What did the eighth record say?
Starting from DFT lattice parameters and positions (PBE), the PXRD pattern of ErAlNi was simulated for Cu Kα.

Structure:
Cell: 8.5451 5.3599 9.0377 Å, 90.00 90.00 90.00°
Space group Amm2 (No. 38)
One atom of each set of equivalent atoms:
Er 0.1816 0.0000 0.0000 x4
Er 0.2921 0.0000 0.6691 x4
Al 0.0000 0.0000 0.4720 x2
Al 0.5000 0.0000 0.1657 x2
Al 0.5000 0.2472 0.4147 x4
Ni 0.0000 0.2459 0.2363 x4
Ni 0.2593 0.0000 0.3329 x4

The 10 most intense peaks (5 to 70 degrees two-theta), low angle first:
2θ = 20.79°, rel. 44, hkl 2 0 0
2θ = 33.44°, rel. 39, hkl 0 2 0
2θ = 34.14°, rel. 93, hkl 0 1 3
2θ = 37.10°, rel. 74, hkl 3 1 1
2θ = 37.32°, rel. 50, hkl 3 0 2
2θ = 39.70°, rel. 65, hkl 2 2 0
2θ = 40.31°, rel. 100, hkl 2 1 3
2θ = 40.53°, rel. 37, hkl 1 2 2
2θ = 64.43°, rel. 24, hkl 2 3 3
2θ = 68.33°, rel. 24, hkl 5 2 2